This entry pairs a crystal structure of HfZrNO with its simulated powder XRD pattern. Radiation: λ = 1.5418 Å (Cu Kα). Structure: a PBE-relaxed structure.
Lines closer than 0.1° are merged.

Top 8 peaks for 15 to 90 degrees two-theta, in order of falling intensity:
- 2θ 34.10, rel. 100.0
- 2θ 39.66, rel. 51.6
- 2θ 57.17, rel. 34.2
- 2θ 68.42, rel. 28.2
- 2θ 39.44, rel. 26.2
- 2θ 57.33, rel. 17.0
- 2θ 71.81, rel. 16.9
- 2θ 68.12, rel. 14.3

```
HfZrNO
1.0
3.2142 0.0000 0.0000
0.0000 3.2142 0.0000
0.0000 0.0000 4.5699
Hf Zr N O
1 1 1 1
direct
0.0000 0.0000 0.0000
0.5000 0.5000 0.5000
0.5000 0.5000 0.0000
0.0000 0.0000 0.5000
```